Record 1
Structure and computed XRD peak list of FeOF (a DFT-relaxed cell (PBE+U, the Materials Project); copper Kα).

Top 10 peaks for 15° ≤ 2θ ≤ 90°, by angle:
2θ = 26.20°, d = 3.401 Å, intensity 97
2θ = 26.56°, d = 3.356 Å, intensity 95
2θ = 34.65°, d = 2.589 Å, intensity 100
2θ = 37.65°, d = 2.389 Å, intensity 15
2θ = 39.47°, d = 2.283 Å, intensity 20
2θ = 51.89°, d = 1.762 Å, intensity 53
2θ = 52.29°, d = 1.749 Å, intensity 53
2θ = 54.70°, d = 1.678 Å, intensity 15
2θ = 60.07°, d = 1.540 Å, intensity 18
2θ = 66.04°, d = 1.415 Å, intensity 36

Crystal structure
```
FeOF
1.0
4.778 0.000 0.000
0.000 3.081 0.000
-0.190 0.000 14.334
Fe O F
6 6 6
direct
0.000 0.000 0.000 Fe
0.003 0.000 0.667 Fe
0.431 0.500 0.834 Fe
0.567 0.500 0.165 Fe
0.571 0.500 0.500 Fe
0.986 0.000 0.333 Fe
0.186 0.500 0.936 O
0.292 0.000 0.761 O
0.711 0.000 0.570 O
0.719 0.000 0.231 O
0.810 0.500 0.060 O
0.835 0.500 0.400 O
0.198 0.500 0.598 F
0.221 0.500 0.271 F
0.316 0.000 0.106 F
0.332 0.000 0.437 F
0.681 0.000 0.890 F
0.805 0.500 0.731 F
```

***

Record 2
Structure and computed XRD peak list of FeCuP2O8 (a DFT-relaxed cell (PBE+U, the Materials Project); copper Kα).

Top 10 peaks for 15° ≤ 2θ ≤ 90°, by angle:
2θ = 20.69°, d = 4.294 Å, intensity 100
2θ = 24.41°, d = 3.646 Å, intensity 92
2θ = 25.45°, d = 3.500 Å, intensity 19
2θ = 33.29°, d = 2.691 Å, intensity 78
2θ = 36.24°, d = 2.479 Å, intensity 44
2θ = 47.75°, d = 1.905 Å, intensity 35
2θ = 50.03°, d = 1.823 Å, intensity 30
2θ = 56.73°, d = 1.623 Å, intensity 28
2θ = 57.08°, d = 1.613 Å, intensity 17
2θ = 63.32°, d = 1.469 Å, intensity 23

Crystal structure
```
FeCuP2O8
1.0
4.294 2.479 6.907
-4.294 2.479 6.907
0.000 -4.958 6.907
Fe Cu P O
3 3 6 24
direct
0.000 0.000 0.000 Fe
0.212 0.212 0.212 Fe
0.501 0.501 0.501 Fe
0.356 0.356 0.356 Cu
0.713 0.713 0.713 Cu
0.856 0.856 0.856 Cu
0.106 0.400 0.812 P
0.313 0.901 0.607 P
0.400 0.812 0.106 P
0.607 0.313 0.901 P
0.812 0.106 0.400 P
0.901 0.607 0.313 P
0.042 0.243 0.851 O
0.100 0.445 0.295 O
0.114 0.913 0.769 O
0.174 0.360 0.968 O
0.243 0.851 0.042 O
0.268 0.416 0.613 O
0.295 0.100 0.445 O
0.353 0.743 0.542 O
0.360 0.968 0.174 O
0.416 0.613 0.268 O
0.445 0.295 0.100 O
0.469 0.873 0.669 O
0.542 0.353 0.743 O
0.598 0.804 0.943 O
0.613 0.268 0.416 O
0.669 0.469 0.873 O
0.743 0.542 0.353 O
0.769 0.114 0.913 O
0.804 0.943 0.598 O
0.851 0.042 0.243 O
0.873 0.669 0.469 O
0.913 0.769 0.114 O
0.943 0.598 0.804 O
0.968 0.174 0.360 O
```

***

Repeat the first record exactly.
Structure and computed XRD peak list of FeOF (a DFT-relaxed cell (PBE+U, the Materials Project); copper Kα).

Top 10 peaks for 15° ≤ 2θ ≤ 90°, by angle:
2θ = 26.20°, d = 3.401 Å, intensity 97
2θ = 26.56°, d = 3.356 Å, intensity 95
2θ = 34.65°, d = 2.589 Å, intensity 100
2θ = 37.65°, d = 2.389 Å, intensity 15
2θ = 39.47°, d = 2.283 Å, intensity 20
2θ = 51.89°, d = 1.762 Å, intensity 53
2θ = 52.29°, d = 1.749 Å, intensity 53
2θ = 54.70°, d = 1.678 Å, intensity 15
2θ = 60.07°, d = 1.540 Å, intensity 18
2θ = 66.04°, d = 1.415 Å, intensity 36

Crystal structure
```
FeOF
1.0
4.778 0.000 0.000
0.000 3.081 0.000
-0.190 0.000 14.334
Fe O F
6 6 6
direct
0.000 0.000 0.000 Fe
0.003 0.000 0.667 Fe
0.431 0.500 0.834 Fe
0.567 0.500 0.165 Fe
0.571 0.500 0.500 Fe
0.986 0.000 0.333 Fe
0.186 0.500 0.936 O
0.292 0.000 0.761 O
0.711 0.000 0.570 O
0.719 0.000 0.231 O
0.810 0.500 0.060 O
0.835 0.500 0.400 O
0.198 0.500 0.598 F
0.221 0.500 0.271 F
0.316 0.000 0.106 F
0.332 0.000 0.437 F
0.681 0.000 0.890 F
0.805 0.500 0.731 F
```